[1]
# CrHS2
Calculated X-ray powder pattern, copper Kα. Input: a PBE-relaxed structure.
Kinematic intensities with the Lorentz-polarization factor, no thermal factor.

Most intense lines, 10 to 90 degrees two-theta, by angle:
| d_spacing | I/Imax | index |
| --- | --- | --- |
| 6.196 | 100.0 | 0 1 0 |
| 4.518 | 15.8 | 0 1 -1 |
| 3.313 | 12.2 | 1 0 0 |
| 3.098 | 12.8 | 0 2 0 |
| 2.943 | 13.0 | -1 1 1 |
| 2.879 | 13.3 | 1 1 0 |
| 2.869 | 21.0 | 0 1 -2 |
| 2.447 | 17.7 | -1 1 2 |
| 2.411 | 12.2 | 1 1 1 |
| 2.042 | 20.9 | 1 0 2 |
| 2.020 | 14.3 | -1 2 2 |
| 1.716 | 12.0 | 2 0 -1 |

Structural model:
```
data_CrHS2
_chemical_formula_sum 'Cr2 H2 S4'
_symmetry_space_group_name_H-M 'P 1'
_symmetry_Int_Tables_number 1
_symmetry_space_group_name_Hall 'P 1'
_cell_length_a 3.433
_cell_length_b 6.203
_cell_length_c 6.580
_cell_angle_alpha 91.58
_cell_angle_beta 104.98
_cell_angle_gamma 91.63
loop_
_atom_site_label
_atom_site_type_symbol
_atom_site_fract_x
_atom_site_fract_y
_atom_site_fract_z
_atom_site_occupancy
Cr1 Cr 0.000 0.000 0.000 1
Cr2 Cr 0.234 0.175 0.445 1
H1 H 0.399 0.426 0.077 1
H2 H 0.754 0.569 0.453 1
S1 S 0.046 0.357 0.117 1
S2 S 0.378 0.970 0.758 1
S3 S 0.637 0.931 0.274 1
S4 S 0.814 0.401 0.587 1
```

=====

[2]
# YHfCu
Calculated X-ray powder pattern, copper Kα. Input: a PBE-relaxed structure.
Kinematic intensities with the Lorentz-polarization factor, no thermal factor.

Most intense lines, 10 to 90 degrees two-theta, by angle:
| d_spacing | I/Imax | index |
| --- | --- | --- |
| 8.273 | 34.4 | 0 0 1 |
| 3.115 | 27.8 | 1 0 2 |
| 2.758 | 16.5 | 0 0 3 |
| 2.708 | 33.7 | 1 1 0 |
| 2.575 | 100.0 | 1 1 -1 |
| 2.383 | 50.4 | 1 0 3 |
| 2.367 | 42.2 | 2 0 0 |
| 2.265 | 44.1 | 1 1 2 |
| 2.116 | 18.6 | 0 1 3 |
| 1.578 | 14.8 | 2 1 3 |
| 1.357 | 18.3 | 1 2 3 |
| 1.354 | 13.9 | 2 2 0 |

Structural model:
```
data_YHfCu
_chemical_formula_sum 'Y2 Hf2 Cu2'
_symmetry_space_group_name_H-M 'P 1 m 1'
_symmetry_Int_Tables_number 6
_symmetry_space_group_name_Hall 'P -2y'
_cell_length_a 4.734
_cell_length_b 3.301
_cell_length_c 8.273
_cell_angle_alpha 90.00
_cell_angle_beta 90.03
_cell_angle_gamma 90.00
loop_
_atom_site_label
_atom_site_type_symbol
_atom_site_fract_x
_atom_site_fract_y
_atom_site_fract_z
_atom_site_occupancy
Y1 Y 0.000 0.000 0.000 1
Y2 Y 0.499 0.000 0.367 1
Hf1 Hf 0.000 0.500 0.614 1
Hf2 Hf 0.500 0.000 0.750 1
Cu1 Cu 0.500 0.500 0.061 1
Cu2 Cu 0.999 0.500 0.280 1
```

=====

[3]
# Sm5Mg2
Calculated X-ray powder pattern, copper Kα. Input: a PBE-relaxed structure.
Kinematic intensities with the Lorentz-polarization factor, no thermal factor.

Most intense lines, 10 to 90 degrees two-theta, by angle:
| d_spacing | I/Imax | index |
| --- | --- | --- |
| 8.504 | 11.1 | 0 0 4 |
| 3.159 | 31.0 | 1 0 5 |
| 2.875 | 100.0 | 1 0 7 |
| 2.835 | 13.3 | 0 0 12 |
| 2.522 | 39.3 | 1 1 0 |
| 2.430 | 10.7 | 0 0 14 |
| 1.884 | 16.3 | 1 1 12 |
| 1.783 | 13.9 | 2 0 0 |
| 1.750 | 15.9 | 1 1 14 |
| 1.600 | 15.0 | 1 0 19 |
| 1.516 | 28.9 | 2 1 7 |
| 1.191 | 11.4 | 2 1 19 |

Structural model:
```
data_Sm5Mg2
_chemical_formula_sum 'Sm10 Mg4'
_symmetry_space_group_name_H-M 'I 4/m m m'
_symmetry_Int_Tables_number 139
_symmetry_space_group_name_Hall '-I 4 2'
_cell_length_a 3.567
_cell_length_b 3.567
_cell_length_c 34.015
_cell_angle_alpha 90.00
_cell_angle_beta 90.00
_cell_angle_gamma 90.00
loop_
_atom_site_label
_atom_site_type_symbol
_atom_site_fract_x
_atom_site_fract_y
_atom_site_fract_z
_atom_site_occupancy
Sm1 Sm 0.000 0.000 0.000 1
Sm2 Sm 0.000 0.000 0.154 1
Sm3 Sm 0.000 0.000 0.423 1
Mg1 Mg 0.000 0.000 0.277 1
```

=====

[4]
# Ac3Nd3ZnIn2
Calculated X-ray powder pattern, copper Kα. Input: a PBE-relaxed structure.
Kinematic intensities with the Lorentz-polarization factor, no thermal factor.

Most intense lines, 10 to 90 degrees two-theta, by angle:
| d_spacing | I/Imax | index |
| --- | --- | --- |
| 4.698 | 11.1 | 1 1 0 |
| 3.075 | 63.6 | 2 1 0 |
| 3.023 | 100.0 | 1 1 1 |
| 2.834 | 52.7 | 2 0 1 |
| 2.712 | 47.6 | 3 0 0 |
| 2.426 | 26.0 | 2 1 1 |
| 1.975 | 15.4 | 0 0 2 |
| 1.688 | 38.2 | 3 2 1 |
| 1.662 | 21.6 | 2 1 2 |
| 1.596 | 19.2 | 3 0 2 |
| 1.371 | 13.4 | 5 1 1 |
| 1.175 | 11.6 | 4 4 0 |

Structural model:
```
data_Ac3Nd3ZnIn2
_chemical_formula_sum 'Ac3 Nd3 Zn1 In2'
_symmetry_space_group_name_H-M 'P -6 2 m'
_symmetry_Int_Tables_number 189
_symmetry_space_group_name_Hall 'P -6 -2'
_cell_length_a 9.3951
_cell_length_b 9.3951
_cell_length_c 3.9494
_cell_angle_alpha 90.00
_cell_angle_beta 90.00
_cell_angle_gamma 120.00
loop_
_atom_site_label
_atom_site_type_symbol
_atom_site_fract_x
_atom_site_fract_y
_atom_site_fract_z
_atom_site_occupancy
Ac1 Ac 0.0000 0.7337 0.0000 1
Nd1 Nd 0.0000 0.3990 0.5000 1
Zn1 Zn 0.0000 0.0000 0.5000 1
In1 In 0.3333 0.6667 0.0000 1
```